ZrAg3: calculated PXRD pattern (a wavelength of 1.5418 Å), based on a DFT-relaxed cell (GGA-PBE, Alexandria).

Principal peaks in the range 10 to 90 degrees two-theta, in order of falling intensity:
Position (°2θ)  d (Å)  I_rel
35.58  2.523  1000
37.67  2.388  851
41.92  2.155  624
62.25  1.491  365
43.82  2.066  273
71.14  1.325  242
75.05  1.266  208
57.88  1.593  115

Structural model:
abc: 5.218 5.218 2.926
angles: 90.00 90.00 104.73
Fractional positions:
1 Zr 0.000 0.000 0.000
2 Ag 0.000 0.500 0.500
3 Ag 0.500 0.000 0.500
4 Ag 0.500 0.500 0.000